Diffraction record for HoAl2GaAu4. The powder diffraction line list is simulated, not measured: it uses DFT lattice parameters and positions (GGA-PBE) and Cu Ka.
Kinematic intensities with the Lorentz-polarization factor, no thermal factor.

Largest 10 diffraction maxima, low angle first, 2θ from 5° to 70°:
- d = 3.649 Å, 2θ 24.40, intensity 22.3, hkl 0 1 2
- d = 3.320 Å, 2θ 26.86, intensity 48.4, hkl 1 0 4
- d = 2.734 Å, 2θ 32.75, intensity 18.0, hkl 1 0 7
- d = 2.554 Å, 2θ 35.14, intensity 100.0, hkl 0 1 8
- d = 2.235 Å, 2θ 40.36, intensity 25.7, hkl 1 0 10
- d = 2.184 Å, 2θ 41.35, intensity 87.6, hkl 1 1 0
- d = 1.824 Å, 2θ 49.99, intensity 9.4, hkl 0 2 4
- d = 1.660 Å, 2θ 55.35, intensity 27.4, hkl 2 0 8
- d = 1.574 Å, 2θ 58.64, intensity 8.9, hkl 1 0 16
- d = 1.410 Å, 2θ 66.28, intensity 16.1, hkl 1 1 15

Cell and atoms:
a = 4.3674 Å, b = 4.3674 Å, c = 27.7032 Å
α = 90.00°, β = 90.00°, γ = 120.00°
Space group R-3m (No. 166, hexagonal axes)
One atom of each set of equivalent atoms:
1 Ho 0.0000 0.0000 0.0000
2 Al 0.0000 0.0000 0.2473
3 Ga 0.0000 0.0000 0.5000
4 Au 0.0000 0.0000 0.1241
5 Au 0.0000 0.0000 0.3933



Diffraction record for KAc2I6. The powder diffraction line list is simulated, not measured: it uses DFT lattice parameters and positions (GGA-PBE) and Cu Ka.
Kinematic intensities with the Lorentz-polarization factor, no thermal factor.

Largest 10 diffraction maxima, low angle first, 2θ from 5° to 70°:
- d = 8.568 Å, 2θ 10.32, intensity 100.0, hkl 0 0 2
- d = 6.193 Å, 2θ 14.30, intensity 40.0, hkl 1 0 0
- d = 5.756 Å, 2θ 15.39, intensity 21.3, hkl 1 0 -2
- d = 3.614 Å, 2θ 24.63, intensity 22.3, hkl 1 1 -4
- d = 3.320 Å, 2θ 26.85, intensity 49.1, hkl 0 2 3
- d = 3.123 Å, 2θ 28.58, intensity 36.3, hkl 1 2 -3
- d = 2.972 Å, 2θ 30.07, intensity 44.3, hkl 2 1 -1
- d = 2.856 Å, 2θ 31.32, intensity 30.1, hkl 0 0 6
- d = 2.762 Å, 2θ 32.41, intensity 40.5, hkl 1 2 3
- d = 2.604 Å, 2θ 34.44, intensity 23.4, hkl 1 2 -5

Cell and atoms:
a = 6.400 Å, b = 8.160 Å, c = 17.709 Å
α = 90.00°, β = 104.62°, γ = 90.00°
Space group P2_1/c (No. 14)
One atom of each set of equivalent atoms:
1 K 0.000 0.000 0.000
2 Ac 0.419 0.115 0.750
3 I 0.092 0.044 0.242
4 I 0.300 0.655 0.104
5 I 0.496 0.660 0.397



Diffraction record for CeNi2B2. The powder diffraction line list is simulated, not measured: it uses DFT lattice parameters and positions (GGA-PBE) and Cu Ka.
Kinematic intensities with the Lorentz-polarization factor, no thermal factor.

Largest 10 diffraction maxima, low angle first, 2θ from 5° to 70°:
- d = 3.835 Å, 2θ 23.20, intensity 32.5, hkl 0 1 1
- d = 2.943 Å, 2θ 30.37, intensity 24.5, hkl 1 0 3
- d = 2.633 Å, 2θ 34.05, intensity 12.5, hkl 0 1 5
- d = 2.221 Å, 2θ 40.61, intensity 100.0, hkl 1 1 4
- d = 2.130 Å, 2θ 42.45, intensity 12.1, hkl 0 1 7
- d = 1.964 Å, 2θ 46.23, intensity 18.0, hkl 0 2 0
- d = 1.939 Å, 2θ 46.86, intensity 7.4, hkl 1 1 6
- d = 1.696 Å, 2θ 54.06, intensity 11.1, hkl 2 0 0
- d = 1.634 Å, 2θ 56.31, intensity 10.6, hkl 1 2 3
- d = 1.470 Å, 2θ 63.24, intensity 8.2, hkl 0 2 8

Cell and atoms:
a = 3.393 Å, b = 3.927 Å, c = 17.742 Å
α = 90.00°, β = 90.00°, γ = 90.00°
Space group Imma (No. 74)
One atom of each set of equivalent atoms:
1 Ce 0.000 0.250 0.172
2 Ni 0.000 0.250 0.449
3 Ni 0.000 0.250 0.948
4 B 0.000 0.250 0.616
5 B 0.000 0.250 0.723



Diffraction record for TbPr3Rh3. The powder diffraction line list is simulated, not measured: it uses DFT lattice parameters and positions (GGA-PBE) and Cu Ka.
Kinematic intensities with the Lorentz-polarization factor, no thermal factor.

Largest 10 diffraction maxima, low angle first, 2θ from 5° to 70°:
- d = 7.015 Å, 2θ 12.62, intensity 29.2, hkl 1 1 0
- d = 3.195 Å, 2θ 27.93, intensity 33.3, hkl 1 1 2
- d = 2.997 Å, 2θ 29.82, intensity 60.4, hkl 1 3 1
- d = 2.843 Å, 2θ 31.47, intensity 57.3, hkl 2 0 2
- d = 2.780 Å, 2θ 32.19, intensity 46.6, hkl 3 1 -1
- d = 2.639 Å, 2θ 33.97, intensity 74.3, hkl 0 4 0
- d = 2.524 Å, 2θ 35.56, intensity 100.0, hkl 2 2 -2
- d = 2.427 Å, 2θ 37.04, intensity 48.7, hkl 1 3 2
- d = 2.347 Å, 2θ 38.36, intensity 33.1, hkl 4 0 0
- d = 1.705 Å, 2θ 53.77, intensity 52.1, hkl 0 2 4

Cell and atoms:
a = 9.387 Å, b = 10.557 Å, c = 7.209 Å
α = 90.00°, β = 90.65°, γ = 90.00°
Space group C2/m (No. 12)
One atom of each set of equivalent atoms:
1 Tb 0.239 0.000 0.127
2 Pr 0.000 0.180 0.500
3 Pr 0.000 0.252 0.000
4 Pr 0.168 0.500 0.375
5 Rh 0.064 0.000 0.806
6 Rh 0.245 0.256 0.725



Diffraction record for KPd6Pb12. The powder diffraction line list is simulated, not measured: it uses DFT lattice parameters and positions (GGA-PBE) and Cu Ka.
Kinematic intensities with the Lorentz-polarization factor, no thermal factor.

Largest 10 diffraction maxima, low angle first, 2θ from 5° to 70°:
- d = 7.513 Å, 2θ 11.78, intensity 32.6, hkl 1 0 1
- d = 6.737 Å, 2θ 13.14, intensity 24.6, hkl 1 1 0
- d = 3.074 Å, 2θ 29.05, intensity 94.2, hkl 1 3 1
- d = 2.944 Å, 2θ 30.36, intensity 46.8, hkl 1 1 3
- d = 2.583 Å, 2θ 34.73, intensity 52.2, hkl 3 2 1
- d = 2.546 Å, 2θ 35.24, intensity 22.8, hkl 4 1 0
- d = 2.505 Å, 2θ 35.84, intensity 100.0, hkl 0 3 3
- d = 2.263 Å, 2θ 39.84, intensity 23.1, hkl 0 2 4
- d = 2.108 Å, 2θ 42.91, intensity 43.9, hkl 5 0 2
- d = 1.679 Å, 2θ 54.67, intensity 22.0, hkl 3 1 5

Cell and atoms:
a = 13.4748 Å, b = 13.4748 Å, c = 9.8183 Å
α = 90.00°, β = 90.00°, γ = 120.00°
Space group R-3m (No. 166, hexagonal axes)
One atom of each set of equivalent atoms:
1 K 0.0000 0.0000 0.0000
2 Pd 0.0439 0.5219 0.2484
3 Pb 0.0000 0.3768 0.5000
4 Pb 0.0877 0.1753 0.3299



Diffraction record for PrSn12Ir6. The powder diffraction line list is simulated, not measured: it uses DFT lattice parameters and positions (GGA-PBE) and Cu Ka.
Kinematic intensities with the Lorentz-polarization factor, no thermal factor.

Largest 10 diffraction maxima, low angle first, 2θ from 5° to 70°:
- d = 3.800 Å, 2θ 23.41, intensity 44.4, hkl 2 1 1
- d = 2.912 Å, 2θ 30.70, intensity 68.1, hkl 1 3 1
- d = 2.706 Å, 2θ 33.11, intensity 49.1, hkl 1 1 3
- d = 2.450 Å, 2θ 36.68, intensity 100.0, hkl 3 2 1
- d = 2.359 Å, 2θ 38.15, intensity 32.7, hkl 0 4 2
- d = 2.323 Å, 2θ 38.76, intensity 76.5, hkl 0 3 3
- d = 2.214 Å, 2θ 40.75, intensity 43.9, hkl 2 3 2
- d = 2.076 Å, 2θ 43.60, intensity 64.1, hkl 0 2 4
- d = 1.989 Å, 2θ 45.60, intensity 65.9, hkl 5 0 2
- d = 1.527 Å, 2θ 60.62, intensity 32.5, hkl 5 2 3

Cell and atoms:
a = 12.8212 Å, b = 12.8212 Å, c = 8.9538 Å
α = 90.00°, β = 90.00°, γ = 120.00°
Space group R-3m (No. 166, hexagonal axes)
One atom of each set of equivalent atoms:
1 Pr 0.0000 0.0000 0.0000
2 Sn 0.0000 0.3786 0.5000
3 Sn 0.0850 0.1699 0.3106
4 Ir 0.0515 0.5258 0.2480